Diffraction record for Pm3Y5Ho2. The powder diffractogram is simulated, not measured: it uses a DFT-relaxed cell (PBE, Alexandria) and copper Kα.
Neutral-atom scattering factors, no anomalous dispersion.

Structure:
Lattice parameters (Å, degrees): 10.7905 16.0954 9.3878 90.00 124.99 90.00
Space group C2/c (No. 15)
Inequivalent atoms, fractional coordinates:
Pm: 0.0000 0.2296 0.2500
Pm: 0.1454 0.1254 0.0469
Y: 0.0000 0.0247 0.2500
Y: 0.0000 0.2738 0.7500
Y: 0.0000 0.4727 0.7500
Y: 0.2422 0.3808 0.2363
Ho: 0.1507 0.3784 0.5458

Principal peaks in the range 2θ from 10° to 80°, in order of falling intensity:
hkl 2 2 1, 30.63 deg, intensity 100; hkl 2 4 0, 30.04 deg, intensity 78; hkl 4 0 -2, 33.21 deg, intensity 45; hkl 0 4 2, 32.20 deg, intensity 31; hkl 2 6 -1, 37.44 deg, intensity 25; hkl 4 4 0, 46.93 deg, intensity 22; hkl 2 2 -1, 19.81 deg, intensity 21; hkl 2 0 2, 38.89 deg, intensity 20